(1)
Diffraction record for Ho13Zn2. The powder diffractogram is theoretical, not measured: it uses a DFT-relaxed cell (GGA-PBE, Alexandria) and λ = 1.5418 Å (Cu Kα).
Intensities are scaled so that the largest is 100.

Most intense lines, 5 to 70 degrees two-theta, in order of falling intensity:
Position (°2θ)	Rel. int.
32.71	100
33.65	61
31.60	26
59.52	11
31.16	11
49.17	11
60.28	11
32.93	9
44.68	9
47.46	9

Cell and atoms:
Unit cell a=6.588 b=8.346 c=8.789 alpha=65.97 beta=78.76 gamma=82.58
Element x y z (fractional)
Ho1 0.000 0.000 0.000
Ho2 0.121 0.477 0.731
Ho3 0.194 0.235 0.147
Ho4 0.240 0.947 0.572
Ho5 0.309 0.661 0.967
Ho6 0.358 0.411 0.390
Ho7 0.494 0.859 0.207
Ho8 0.506 0.141 0.793
Ho9 0.642 0.589 0.610
Ho10 0.691 0.339 0.033
Ho11 0.760 0.053 0.428
Ho12 0.806 0.765 0.853
Ho13 0.879 0.523 0.269
Zn1 0.059 0.767 0.382
Zn2 0.941 0.233 0.618

---

(2)
Diffraction record for HoZn2. The powder diffractogram is theoretical, not measured: it uses a DFT-relaxed cell (GGA-PBE, Alexandria) and λ = 1.5418 Å (Cu Kα).
Intensities are scaled so that the largest is 100.

Most intense lines, 5 to 70 degrees two-theta, in order of falling intensity:
Position (°2θ)	Rel. int.
34.48	100
41.18	48
34.76	44
40.46	31
33.58	22
23.16	21
54.34	16
66.87	13
69.76	13
54.41	12

Cell and atoms:
Unit cell a=8.765 b=7.071 c=4.459 alpha=90.00 beta=120.49 gamma=90.00
Element x y z (fractional)
Ho1 0.218 0.000 0.467
Ho2 0.282 0.500 0.533
Ho3 0.718 0.500 0.467
Ho4 0.782 0.000 0.533
Zn1 0.084 0.295 0.835
Zn2 0.084 0.705 0.835
Zn3 0.416 0.205 0.165
Zn4 0.416 0.795 0.165
Zn5 0.584 0.205 0.835
Zn6 0.584 0.795 0.835
Zn7 0.916 0.295 0.165
Zn8 0.916 0.705 0.165

---

(3)
Diffraction record for HoZn6. The powder diffractogram is theoretical, not measured: it uses a DFT-relaxed cell (GGA-PBE, Alexandria) and λ = 1.5418 Å (Cu Kα).
Intensities are scaled so that the largest is 100.

Most intense lines, 5 to 70 degrees two-theta, in order of falling intensity:
Position (°2θ)	Rel. int.
34.39	100
40.61	67
31.85	45
42.95	37
38.18	32
46.64	28
57.59	22
33.13	17
53.83	13
50.75	11

Cell and atoms:
Unit cell a=5.509 b=5.509 c=8.113 alpha=90.00 beta=90.00 gamma=90.00
Element x y z (fractional)
Ho1 0.250 0.750 0.000
Ho2 0.750 0.250 0.000
Zn1 0.076 0.576 0.361
Zn2 0.076 0.924 0.639
Zn3 0.250 0.250 0.159
Zn4 0.250 0.250 0.841
Zn5 0.424 0.576 0.639
Zn6 0.424 0.924 0.361
Zn7 0.576 0.076 0.639
Zn8 0.576 0.424 0.361
Zn9 0.750 0.750 0.159
Zn10 0.750 0.750 0.841
Zn11 0.924 0.076 0.361
Zn12 0.924 0.424 0.639

---

(4)
Diffraction record for Ho2Zn7. The powder diffractogram is theoretical, not measured: it uses a DFT-relaxed cell (GGA-PBE, Alexandria) and λ = 1.5418 Å (Cu Kα).
Intensities are scaled so that the largest is 100.

Most intense lines, 5 to 70 degrees two-theta, in order of falling intensity:
Position (°2θ)	Rel. int.
39.61	100
33.10	44
38.48	38
30.37	33
43.07	26
32.30	26
63.52	23
69.45	21
57.43	12
63.19	9

Cell and atoms:
Unit cell a=12.985 b=12.985 c=12.985 alpha=24.06 beta=24.06 gamma=24.06
Element x y z (fractional)
Ho1 0.052 0.052 0.052
Ho2 0.149 0.149 0.149
Ho3 0.851 0.851 0.851
Ho4 0.948 0.948 0.948
Zn1 0.000 0.500 0.500
Zn2 0.105 0.613 0.613
Zn3 0.279 0.279 0.279
Zn4 0.387 0.387 0.895
Zn5 0.387 0.895 0.387
Zn6 0.389 0.389 0.389
Zn7 0.500 0.000 0.500
Zn8 0.500 0.500 0.000
Zn9 0.500 0.500 0.500
Zn10 0.611 0.611 0.611
Zn11 0.613 0.105 0.613
Zn12 0.613 0.613 0.105
Zn13 0.721 0.721 0.721
Zn14 0.895 0.387 0.387

---

(5)
Diffraction record for HoZr2Zn2. The powder diffractogram is theoretical, not measured: it uses a DFT-relaxed cell (GGA-PBE, Alexandria) and λ = 1.5418 Å (Cu Kα).
Intensities are scaled so that the largest is 100.

Most intense lines, 5 to 70 degrees two-theta, in order of falling intensity:
Position (°2θ)	Rel. int.
36.93	100
36.66	28
35.35	22
66.19	17
51.84	14
64.50	10
67.56	9
54.58	9
27.85	7
66.72	7

Cell and atoms:
Unit cell a=12.806 b=12.806 c=4.903 alpha=90.00 beta=90.00 gamma=164.91
Element x y z (fractional)
Ho1 0.147 0.853 0.750
Ho2 0.853 0.147 0.250
Zr1 0.045 0.955 0.250
Zr2 0.234 0.766 0.250
Zr3 0.766 0.234 0.750
Zr4 0.955 0.045 0.750
Zn1 0.364 0.636 0.750
Zn2 0.452 0.548 0.250
Zn3 0.548 0.452 0.750
Zn4 0.636 0.364 0.250

---

(6)
Diffraction record for HoZr11. The powder diffractogram is theoretical, not measured: it uses a DFT-relaxed cell (GGA-PBE, Alexandria) and λ = 1.5418 Å (Cu Kα).
Intensities are scaled so that the largest is 100.

Most intense lines, 5 to 70 degrees two-theta, in order of falling intensity:
Position (°2θ)	Rel. int.
35.14	100
34.81	59
33.25	33
69.82	26
50.30	20
62.84	19
41.83	18
63.06	17
55.75	14
58.18	8

Cell and atoms:
Unit cell a=10.214 b=10.214 c=3.171 alpha=90.00 beta=90.00 gamma=120.00
Element x y z (fractional)
Ho1 0.000 0.000 0.000
Zr1 0.000 0.500 0.000
Zr2 0.175 0.349 0.500
Zr3 0.175 0.825 0.500
Zr4 0.333 0.667 0.000
Zr5 0.349 0.175 0.500
Zr6 0.500 0.000 0.000
Zr7 0.500 0.500 0.000
Zr8 0.651 0.825 0.500
Zr9 0.667 0.333 0.000
Zr10 0.825 0.175 0.500
Zr11 0.825 0.651 0.500

---

(7)
Diffraction record for Ho8Zr. The powder diffractogram is theoretical, not measured: it uses a DFT-relaxed cell (GGA-PBE, Alexandria) and λ = 1.5418 Å (Cu Kα).
Intensities are scaled so that the largest is 100.

Most intense lines, 5 to 70 degrees two-theta, in order of falling intensity:
Position (°2θ)	Rel. int.
31.47	100
36.37	34
62.40	27
52.66	23
36.74	17
62.89	14
65.69	12
52.39	12
26.34	1
50.47	1

Cell and atoms:
Unit cell a=7.803 b=7.803 c=7.803 alpha=95.64 beta=95.64 gamma=143.46
Element x y z (fractional)
Ho1 0.000 0.328 0.328
Ho2 0.000 0.672 0.672
Ho3 0.328 0.000 0.328
Ho4 0.339 0.339 0.678
Ho5 0.339 0.661 0.000
Ho6 0.661 0.339 0.000
Ho7 0.661 0.661 0.322
Ho8 0.672 0.000 0.672
Zr1 0.000 0.000 0.000

---

(8)
Diffraction record for InI2. The powder diffractogram is theoretical, not measured: it uses a DFT-relaxed cell (GGA-PBE, Alexandria) and λ = 1.5418 Å (Cu Kα).
Intensities are scaled so that the largest is 100.

Most intense lines, 5 to 70 degrees two-theta, in order of falling intensity:
Position (°2θ)	Rel. int.
27.12	100
32.32	90
26.96	80
22.05	69
23.50	57
20.19	51
30.04	50
39.58	49
45.24	48
20.33	48

Cell and atoms:
Unit cell a=8.574 b=11.320 c=11.488 alpha=90.00 beta=90.00 gamma=90.00
Element x y z (fractional)
In1 0.144 0.250 0.250
In2 0.250 0.000 0.677
In3 0.250 0.500 0.823
In4 0.356 0.750 0.250
In5 0.644 0.250 0.750
In6 0.750 0.000 0.323
In7 0.750 0.500 0.177
In8 0.856 0.750 0.750
I1 0.009 0.543 0.315
I2 0.009 0.957 0.185
I3 0.158 0.693 0.954
I4 0.158 0.807 0.546
I5 0.342 0.193 0.546
I6 0.342 0.307 0.954
I7 0.491 0.043 0.185
I8 0.491 0.457 0.315
I9 0.509 0.543 0.685
I10 0.509 0.957 0.815
I11 0.658 0.693 0.046
I12 0.658 0.807 0.454
I13 0.842 0.193 0.454
I14 0.842 0.307 0.046
I15 0.991 0.043 0.815
I16 0.991 0.457 0.685

---

(9)
Diffraction record for In2I3. The powder diffractogram is theoretical, not measured: it uses a DFT-relaxed cell (GGA-PBE, Alexandria) and λ = 1.5418 Å (Cu Kα).
Intensities are scaled so that the largest is 100.

Most intense lines, 5 to 70 degrees two-theta, in order of falling intensity:
Position (°2θ)	Rel. int.
25.18	100
32.15	87
39.31	35
41.46	26
62.47	25
14.94	20
39.41	18
19.91	15
51.72	15
66.78	13

Cell and atoms:
Unit cell a=7.926 b=7.926 c=9.057 alpha=115.89 beta=115.89 gamma=60.17
Element x y z (fractional)
In1 0.161 0.661 0.983
In2 0.339 0.839 0.517
In3 0.661 0.161 0.483
In4 0.839 0.339 0.017
I1 0.075 0.925 0.750
I2 0.250 0.423 0.250
I3 0.423 0.250 0.750
I4 0.577 0.750 0.250
I5 0.750 0.577 0.750
I6 0.925 0.075 0.250

---

(10)
Diffraction record for K2In2I7. The powder diffractogram is theoretical, not measured: it uses a DFT-relaxed cell (GGA-PBE, Alexandria) and λ = 1.5418 Å (Cu Kα).
Intensities are scaled so that the largest is 100.

Most intense lines, 5 to 70 degrees two-theta, in order of falling intensity:
Position (°2θ)	Rel. int.
17.43	100
24.34	77
22.71	71
16.97	61
33.34	57
15.20	49
12.35	42
37.68	33
29.06	30
24.48	30

Cell and atoms:
Unit cell a=9.324 b=9.324 c=7.394 alpha=98.03 beta=98.03 gamma=100.36
Element x y z (fractional)
K1 0.207 0.793 0.000
K2 0.793 0.207 0.000
In1 0.272 0.272 0.587
In2 0.728 0.728 0.413
I1 0.087 0.415 0.795
I2 0.099 0.099 0.256
I3 0.415 0.087 0.795
I4 0.500 0.500 0.500
I5 0.585 0.913 0.205
I6 0.901 0.901 0.744
I7 0.913 0.585 0.205

---

(11)
Diffraction record for KIn2I3. The powder diffractogram is theoretical, not measured: it uses a DFT-relaxed cell (GGA-PBE, Alexandria) and λ = 1.5418 Å (Cu Kα).
Intensities are scaled so that the largest is 100.

Most intense lines, 5 to 70 degrees two-theta, in order of falling intensity:
Position (°2θ)	Rel. int.
25.22	100
35.97	78
44.44	28
58.50	24
64.70	18
58.34	12
64.57	9
51.85	9
8.33	5
21.80	5

Cell and atoms:
Unit cell a=4.988 b=4.988 c=21.237 alpha=90.00 beta=90.00 gamma=90.00
Element x y z (fractional)
K1 0.000 0.000 0.000
K2 0.500 0.500 0.500
In1 0.000 0.000 0.334
In2 0.000 0.000 0.666
In3 0.500 0.500 0.166
In4 0.500 0.500 0.834
I1 0.000 0.000 0.168
I2 0.000 0.000 0.500
I3 0.000 0.000 0.832
I4 0.500 0.500 0.000
I5 0.500 0.500 0.332
I6 0.500 0.500 0.668

---

(12)
Diffraction record for K2InI5. The powder diffractogram is theoretical, not measured: it uses a DFT-relaxed cell (GGA-PBE, Alexandria) and λ = 1.5418 Å (Cu Kα).
Intensities are scaled so that the largest is 100.

Most intense lines, 5 to 70 degrees two-theta, in order of falling intensity:
Position (°2θ)	Rel. int.
28.40	100
26.74	88
13.28	59
17.58	44
41.15	30
33.61	29
40.61	28
45.64	23
49.29	22
37.57	22

Cell and atoms:
Unit cell a=10.089 b=12.563 c=8.054 alpha=90.00 beta=128.69 gamma=90.00
Element x y z (fractional)
K1 0.000 0.250 0.000
K2 0.000 0.750 0.000
K3 0.500 0.250 0.000
K4 0.500 0.750 0.000
In1 0.022 0.000 0.500
In2 0.522 0.500 0.500
I1 0.188 0.000 0.952
I2 0.237 0.500 0.048
I3 0.297 0.000 0.501
I4 0.462 0.274 0.500
I5 0.462 0.726 0.500
I6 0.688 0.500 0.952
I7 0.737 0.000 0.048
I8 0.797 0.500 0.501
I9 0.962 0.226 0.500
I10 0.962 0.774 0.500